For NaAl4Zn2, a cell relaxed with PBE gives the computed XRD peak list in this record (Cu Kα X-rays).
No peak broadening, texture or thermal motion is included.

Cell and atoms:
Cell lengths 8.3163, 8.3163, 4.0843 Å; angles 90.00, 90.00, 152.42 degrees
Fractional coordinates of all 7 atoms:
Na: 0.0000 0.0000 0.0000
Al: 0.1853 0.8147 0.5000
Al: 0.3134 0.6866 0.0000
Al: 0.6866 0.3134 0.0000
Al: 0.8147 0.1853 0.5000
Zn: 0.4228 0.5772 0.5000
Zn: 0.5772 0.4228 0.5000

Principal peaks in the range 15° ≤ 2θ ≤ 90°, sorted by position:
21.76°, d 4.084, rel. 61.8; 23.10°, d 3.850, rel. 78.5; 31.95°, d 2.802, rel. 79.2; 35.70°, d 2.515, rel. 100.0; 35.86°, d 2.504, rel. 42.2; 40.12°, d 2.248, rel. 46.7; 42.33°, d 2.135, rel. 99.4; 44.36°, d 2.042, rel. 50.0; 45.48°, d 1.994, rel. 33.8; 45.78°, d 1.982, rel. 46.6

---

For NaZrAl2, a cell relaxed with PBE gives the computed XRD peak list in this record (Cu Kα X-rays).
No peak broadening, texture or thermal motion is included.

Cell and atoms:
Cell lengths 8.6435, 8.6435, 3.1763 Å; angles 90.00, 90.00, 130.19 degrees
Fractional coordinates of all 8 atoms:
Na: 0.0000 0.0000 0.0000
Na: 0.5000 0.5000 0.4944
Zr: 0.2088 0.7912 0.4943
Zr: 0.7912 0.2088 0.4943
Al: 0.1527 0.4724 0.9942
Al: 0.4724 0.1527 0.9942
Al: 0.5276 0.8473 0.9942
Al: 0.8473 0.5276 0.9942

Principal peaks in the range 15° ≤ 2θ ≤ 90°, sorted by position:
20.92°, d 4.246, rel. 31.1; 24.45°, d 3.640, rel. 33.8; 31.05°, d 2.880, rel. 40.4; 33.60°, d 2.667, rel. 44.1; 35.29°, d 2.543, rel. 100.0; 37.57°, d 2.394, rel. 68.2; 39.36°, d 2.289, rel. 56.8; 41.01°, d 2.201, rel. 35.2; 51.49°, d 1.775, rel. 31.1; 63.68°, d 1.461, rel. 31.8

---

For NaZrAl, a cell relaxed with PBE gives the computed XRD peak list in this record (Cu Kα X-rays).
No peak broadening, texture or thermal motion is included.

Cell and atoms:
Cell lengths 4.2511, 3.7662, 10.2957 Å; angles 90.00, 102.03, 90.00 degrees
Fractional coordinates of all 6 atoms:
Na: 0.1925 0.0000 0.3857
Na: 0.8075 0.5000 0.6143
Zr: 0.4379 0.0065 0.8764
Zr: 0.5621 0.5065 0.1236
Al: 0.0454 0.0066 0.0902
Al: 0.9546 0.5066 0.9098

Principal peaks in the range 15° ≤ 2θ ≤ 90°, sorted by position:
21.36°, d 4.159, rel. 50.8; 29.62°, d 3.016, rel. 73.5; 30.58°, d 2.924, rel. 30.0; 32.06°, d 2.792, rel. 59.8; 34.51°, d 2.599, rel. 100.0; 35.66°, d 2.517, rel. 46.2; 39.00°, d 2.310, rel. 93.0; 42.53°, d 2.126, rel. 32.3; 45.02°, d 2.014, rel. 42.7; 52.68°, d 1.737, rel. 27.8

---

For Nb3Al, a cell relaxed with PBE gives the computed XRD peak list in this record (Cu Kα X-rays).
No peak broadening, texture or thermal motion is included.

Cell and atoms:
Cell lengths 2.7516, 4.8009, 5.4136 Å; angles 90.00, 90.00, 90.00 degrees
Fractional coordinates of all 4 atoms:
Nb: 0.0000 0.0000 0.0000
Nb: 0.0000 0.5000 0.2942
Nb: 0.5000 0.5000 0.7784
Al: 0.5000 0.0000 0.4841

Principal peaks in the range 15° ≤ 2θ ≤ 90°, sorted by position:
36.64°, d 2.453, rel. 44.7; 37.47°, d 2.400, rel. 51.8; 38.17°, d 2.358, rel. 91.7; 41.33°, d 2.184, rel. 100.0; 53.40°, d 1.716, rel. 29.4; 61.45°, d 1.509, rel. 19.5; 68.10°, d 1.377, rel. 24.5; 70.23°, d 1.340, rel. 19.9; 74.23°, d 1.278, rel. 22.0; 80.90°, d 1.188, rel. 19.5

---

For NbAl5, a cell relaxed with PBE gives the computed XRD peak list in this record (Cu Kα X-rays).
No peak broadening, texture or thermal motion is included.

Cell and atoms:
Cell lengths 4.9978, 4.9978, 9.0678 Å; angles 90.00, 90.00, 120.00 degrees
Fractional coordinates of all 12 atoms:
Nb: 0.3333 0.6667 0.2500
Nb: 0.6667 0.3333 0.7500
Al: 0.0000 0.0000 0.2500
Al: 0.0000 0.0000 0.7500
Al: 0.0000 0.3346 0.5000
Al: 0.0000 0.6654 0.0000
Al: 0.3333 0.6667 0.7500
Al: 0.3346 0.0000 0.5000
Al: 0.3346 0.3346 0.0000
Al: 0.6654 0.0000 0.0000
Al: 0.6654 0.6654 0.5000
Al: 0.6667 0.3333 0.2500

Principal peaks in the range 15° ≤ 2θ ≤ 90°, sorted by position:
19.58°, d 4.534, rel. 15.1; 22.77°, d 3.906, rel. 47.4; 35.94°, d 2.499, rel. 24.5; 37.33°, d 2.409, rel. 18.2; 39.76°, d 2.267, rel. 27.3; 41.25°, d 2.189, rel. 100.0; 54.66°, d 1.679, rel. 14.2; 64.60°, d 1.443, rel. 19.0; 73.19°, d 1.293, rel. 17.7; 78.60°, d 1.217, rel. 21.4

---

For NbAl5, a cell relaxed with PBE gives the computed XRD peak list in this record (Cu Kα X-rays).
No peak broadening, texture or thermal motion is included.

Cell and atoms:
Cell lengths 6.7151, 6.7151, 3.8617 Å; angles 90.00, 90.00, 145.99 degrees
Fractional coordinates of all 6 atoms:
Nb: 0.0000 0.0000 0.0000
Al: 0.1697 0.8303 0.5000
Al: 0.3375 0.6625 0.0000
Al: 0.5000 0.5000 0.5000
Al: 0.6625 0.3375 0.0000
Al: 0.8303 0.1697 0.5000

Principal peaks in the range 15° ≤ 2θ ≤ 90°, sorted by position:
23.69°, d 3.756, rel. 15.5; 26.94°, d 3.309, rel. 13.5; 33.28°, d 2.692, rel. 13.6; 38.89°, d 2.316, rel. 100.0; 42.22°, d 2.141, rel. 19.5; 46.23°, d 1.964, rel. 15.1; 47.06°, d 1.931, rel. 14.3; 74.96°, d 1.267, rel. 13.7; 80.68°, d 1.191, rel. 11.4; 81.91°, d 1.176, rel. 11.0

---

For NbAl8, a cell relaxed with PBE gives the computed XRD peak list in this record (Cu Kα X-rays).
No peak broadening, texture or thermal motion is included.

Cell and atoms:
Cell lengths 8.8171, 6.7546, 6.2837 Å; angles 85.02, 49.75, 45.23 degrees
Fractional coordinates of all 9 atoms:
Nb: 0.0000 0.0000 0.0000
Al: 0.0023 0.3294 0.6706
Al: 0.3294 0.0023 0.9977
Al: 0.3332 0.6668 0.3332
Al: 0.3383 0.3383 0.6617
Al: 0.6617 0.6617 0.3383
Al: 0.6668 0.3332 0.6668
Al: 0.6706 0.9977 0.0023
Al: 0.9977 0.6706 0.3294

Principal peaks in the range 15° ≤ 2θ ≤ 90°, sorted by position:
20.21°, d 4.395, rel. 13.2; 25.32°, d 3.518, rel. 14.9; 38.66°, d 2.329, rel. 100.0; 41.85°, d 2.159, rel. 19.8; 45.48°, d 1.994, rel. 15.5; 47.36°, d 1.920, rel. 13.8; 63.51°, d 1.465, rel. 11.2; 74.29°, d 1.277, rel. 13.9; 79.44°, d 1.206, rel. 11.6; 82.20°, d 1.173, rel. 10.7

---

For Nb4Al, a cell relaxed with PBE gives the computed XRD peak list in this record (Cu Kα X-rays).
No peak broadening, texture or thermal motion is included.

Cell and atoms:
Cell lengths 11.7056, 11.6108, 2.8350 Å; angles 84.92, 81.12, 13.96 degrees
Fractional coordinates of all 5 atoms:
Nb: 0.0965 0.0965 0.9035
Nb: 0.3016 0.3016 0.6984
Nb: 0.6984 0.6984 0.3016
Nb: 0.9035 0.9035 0.0965
Al: 0.5000 0.5000 0.5000

Principal peaks in the range 15° ≤ 2θ ≤ 90°, sorted by position:
38.40°, d 2.344, rel. 100.0; 39.22°, d 2.297, rel. 23.1; 39.82°, d 2.264, rel. 22.7; 53.70°, d 1.707, rel. 9.3; 57.13°, d 1.612, rel. 15.0; 68.49°, d 1.370, rel. 8.5; 68.90°, d 1.363, rel. 8.6; 70.54°, d 1.335, rel. 15.1; 71.35°, d 1.322, rel. 15.4; 82.26°, d 1.172, rel. 10.2

---

For NbAl2Ni8, a cell relaxed with PBE gives the computed XRD peak list in this record (Cu Kα X-rays).
No peak broadening, texture or thermal motion is included.

Cell and atoms:
Cell lengths 6.2146, 6.2146, 6.8159 Å; angles 121.97, 121.97, 37.90 degrees
Fractional coordinates of all 11 atoms:
Nb: 0.0000 0.0000 0.0000
Al: 0.3169 0.3169 0.2946
Al: 0.6831 0.6831 0.7054
Ni: 0.0707 0.0707 0.7210
Ni: 0.1863 0.1863 0.4850
Ni: 0.3214 0.3214 0.9445
Ni: 0.4444 0.4444 0.7241
Ni: 0.5556 0.5556 0.2759
Ni: 0.6786 0.6786 0.0555
Ni: 0.8137 0.8137 0.5150
Ni: 0.9293 0.9293 0.2790

Principal peaks in the range 15° ≤ 2θ ≤ 90°, sorted by position:
35.87°, d 2.504, rel. 17.2; 40.57°, d 2.224, rel. 23.8; 44.19°, d 2.050, rel. 13.5; 44.91°, d 2.018, rel. 61.7; 45.03°, d 2.013, rel. 39.3; 45.22°, d 2.005, rel. 98.3; 45.82°, d 1.980, rel. 100.0; 46.35°, d 1.959, rel. 23.5; 66.52°, d 1.406, rel. 14.8; 83.50°, d 1.158, rel. 15.4

---

For Nb12Al3Ni, a cell relaxed with PBE gives the computed XRD peak list in this record (Cu Kα X-rays).
No peak broadening, texture or thermal motion is included.

Cell and atoms:
Cell lengths 5.1804, 5.1974, 10.3721 Å; angles 90.00, 90.00, 90.00 degrees
Fractional coordinates of all 16 atoms:
Nb: 0.0000 0.0000 0.1207
Nb: 0.0000 0.0000 0.3714
Nb: 0.0000 0.0000 0.6286
Nb: 0.0000 0.0000 0.8793
Nb: 0.2495 0.5000 0.2453
Nb: 0.2495 0.5000 0.7547
Nb: 0.5000 0.2461 0.5000
Nb: 0.5000 0.2548 0.0000
Nb: 0.5000 0.7452 0.0000
Nb: 0.5000 0.7539 0.5000
Nb: 0.7505 0.5000 0.2453
Nb: 0.7505 0.5000 0.7547
Al: 0.0000 0.5000 0.5000
Al: 0.5000 0.0000 0.2517
Al: 0.5000 0.0000 0.7483
Ni: 0.0000 0.5000 0.0000

Principal peaks in the range 15° ≤ 2θ ≤ 90°, sorted by position:
24.26°, d 3.668, rel. 20.4; 34.55°, d 2.596, rel. 13.6; 38.80°, d 2.321, rel. 100.0; 38.86°, d 2.317, rel. 22.5; 42.69°, d 2.118, rel. 44.3; 61.96°, d 1.498, rel. 17.0; 64.74°, d 1.440, rel. 12.6; 64.85°, d 1.438, rel. 13.3; 67.61°, d 1.386, rel. 10.8; 85.88°, d 1.132, rel. 11.3